For Cd2P3I, a cell relaxed with PBE gives the theoretical X-ray diffraction stick pattern in this record (λ = 1.5418 Å (Cu Kα)).

Crystal structure
Cell: 6.3084 6.3084 7.6421 Å, 96.29 96.29 96.65°
Atoms (fractional coordinates):
1 Cd 0.1051 0.3932 0.2187
2 Cd 0.3932 0.1051 0.7187
3 Cd 0.6068 0.8949 0.2813
4 Cd 0.8949 0.6068 0.7813
5 P 0.3061 0.6939 0.7500
6 P 0.3460 0.4353 0.5415
7 P 0.4353 0.3460 0.0415
8 P 0.5647 0.6540 0.9585
9 P 0.6540 0.5647 0.4585
10 P 0.6939 0.3061 0.2500
11 I 0.1195 0.8805 0.2500
12 I 0.8805 0.1195 0.7500

Most intense lines, 15° ≤ 2θ ≤ 90°, sorted by position:
| two_theta | I/Imax |
| --- | --- |
| 17.3 | 12.6 |
| 23.6 | 55.6 |
| 29.2 | 25.2 |
| 29.7 | 100.0 |
| 32.5 | 55.5 |
| 38.2 | 14.0 |
| 43.4 | 20.4 |
| 45.4 | 20.9 |
| 46.5 | 16.4 |
| 49.4 | 17.8 |

For Cd3PI3, a cell relaxed with PBE gives the theoretical X-ray diffraction stick pattern in this record (λ = 1.5418 Å (Cu Kα)).

Crystal structure
Cell: 7.4250 4.5133 7.8663 Å, 90.00 91.00 90.00°
Atoms (fractional coordinates):
1 Cd 0.0000 0.0000 0.0000
2 Cd 0.0256 0.5000 0.5852
3 Cd 0.5714 0.5000 0.8671
4 P 0.9095 0.5000 0.8830
5 I 0.4061 0.5000 0.5359
6 I 0.4083 0.0000 0.0539
7 I 0.8973 0.0000 0.3738

Most intense lines, 15° ≤ 2θ ≤ 90°, sorted by position:
| two_theta | I/Imax |
| --- | --- |
| 22.6 | 39.9 |
| 22.7 | 100.0 |
| 24.0 | 65.0 |
| 25.8 | 41.3 |
| 33.1 | 25.5 |
| 33.4 | 30.2 |
| 39.8 | 59.1 |
| 40.0 | 36.1 |
| 43.1 | 25.3 |
| 43.4 | 39.2 |

For Rb2CdI4, a cell relaxed with PBE gives the theoretical X-ray diffraction stick pattern in this record (λ = 1.5418 Å (Cu Kα)).

Crystal structure
Cell: 8.4243 8.5847 10.3056 Å, 90.00 108.16 90.00°
Atoms (fractional coordinates):
1 Rb 0.2180 0.2500 0.0514
2 Rb 0.2611 0.2500 0.5670
3 Rb 0.7389 0.7500 0.4330
4 Rb 0.7820 0.7500 0.9486
5 Cd 0.2255 0.7500 0.7995
6 Cd 0.7745 0.2500 0.2005
7 I 0.9997 0.0053 0.7384
8 I 0.9997 0.4947 0.7384
9 I 0.0003 0.5053 0.2616
10 I 0.0003 0.9947 0.2616
11 I 0.4085 0.7500 0.0801
12 I 0.4278 0.7500 0.6267
13 I 0.5722 0.2500 0.3733
14 I 0.5915 0.2500 0.9199

Most intense lines, 15° ≤ 2θ ≤ 90°, sorted by position:
| two_theta | I/Imax |
| --- | --- |
| 23.5 | 100.0 |
| 23.9 | 56.4 |
| 24.1 | 53.7 |
| 26.1 | 64.9 |
| 26.3 | 63.5 |
| 27.6 | 83.9 |
| 30.5 | 41.9 |
| 34.8 | 51.5 |
| 39.8 | 56.0 |
| 42.1 | 39.4 |

For Tl4CdI6, a cell relaxed with PBE gives the theoretical X-ray diffraction stick pattern in this record (λ = 1.5418 Å (Cu Kα)).

Crystal structure
Cell: 9.4047 9.4047 9.9646 Å, 90.00 90.00 90.00°
Atoms (fractional coordinates):
1 Tl 0.1522 0.3478 0.2500
2 Tl 0.1522 0.3478 0.7500
3 Tl 0.3478 0.8478 0.2500
4 Tl 0.3478 0.8478 0.7500
5 Tl 0.6522 0.1522 0.2500
6 Tl 0.6522 0.1522 0.7500
7 Tl 0.8478 0.6522 0.2500
8 Tl 0.8478 0.6522 0.7500
9 Cd 0.0000 0.0000 0.0000
10 Cd 0.5000 0.5000 0.5000
11 I 0.0000 0.0000 0.2895
12 I 0.0000 0.0000 0.7105
13 I 0.1363 0.6929 0.0000
14 I 0.1929 0.6363 0.5000
15 I 0.3071 0.1363 0.0000
16 I 0.3637 0.1929 0.5000
17 I 0.5000 0.5000 0.2105
18 I 0.5000 0.5000 0.7895
19 I 0.6363 0.8071 0.5000
20 I 0.6929 0.8637 0.0000
21 I 0.8071 0.3637 0.5000
22 I 0.8637 0.3071 0.0000

Most intense lines, 15° ≤ 2θ ≤ 90°, sorted by position:
| two_theta | I/Imax |
| --- | --- |
| 26.8 | 7.6 |
| 27.8 | 100.0 |
| 30.0 | 45.8 |
| 36.1 | 16.1 |
| 40.7 | 7.1 |
| 43.0 | 9.1 |
| 43.6 | 13.9 |
| 47.6 | 20.3 |
| 55.8 | 14.1 |
| 59.9 | 14.1 |

For Tl3Cd2I7, a cell relaxed with PBE gives the theoretical X-ray diffraction stick pattern in this record (λ = 1.5418 Å (Cu Kα)).

Crystal structure
Cell: 14.3455 15.4522 4.5906 Å, 90.00 90.00 90.00°
Atoms (fractional coordinates):
1 Tl 0.0000 0.0000 0.0000
2 Tl 0.1051 0.3656 0.0000
3 Tl 0.3949 0.8656 0.0000
4 Tl 0.5000 0.5000 0.0000
5 Tl 0.6051 0.1344 0.0000
6 Tl 0.8949 0.6344 0.0000
7 Cd 0.2470 0.6140 0.5000
8 Cd 0.2530 0.1140 0.5000
9 Cd 0.7470 0.8860 0.5000
10 Cd 0.7530 0.3860 0.5000
11 I 0.0000 0.5000 0.5000
12 I 0.0667 0.1820 0.5000
13 I 0.1598 0.6910 0.0000
14 I 0.2053 0.9383 0.5000
15 I 0.2947 0.4383 0.5000
16 I 0.3402 0.1910 0.0000
17 I 0.4333 0.6820 0.5000
18 I 0.5000 0.0000 0.5000
19 I 0.5667 0.3180 0.5000
20 I 0.6598 0.8090 0.0000
21 I 0.7053 0.5617 0.5000
22 I 0.7947 0.0617 0.5000
23 I 0.8402 0.3090 0.0000
24 I 0.9333 0.8180 0.5000

Most intense lines, 15° ≤ 2θ ≤ 90°, sorted by position:
| two_theta | I/Imax |
| --- | --- |
| 25.5 | 43.4 |
| 25.8 | 25.9 |
| 26.7 | 100.0 |
| 27.4 | 22.0 |
| 27.5 | 49.4 |
| 28.9 | 26.2 |
| 31.7 | 31.6 |
| 39.3 | 32.9 |
| 40.7 | 21.6 |
| 47.4 | 23.4 |

For CdIn, a cell relaxed with PBE gives the theoretical X-ray diffraction stick pattern in this record (λ = 1.5418 Å (Cu Kα)).

Crystal structure
Cell: 3.3175 3.3175 5.4606 Å, 90.00 90.00 120.00°
Atoms (fractional coordinates):
1 Cd 0.0000 0.0000 0.0000
2 In 0.6667 0.3333 0.5000

Most intense lines, 15° ≤ 2θ ≤ 90°, sorted by position:
| two_theta | I/Imax |
| --- | --- |
| 31.1 | 23.4 |
| 32.8 | 27.1 |
| 35.3 | 100.0 |
| 45.8 | 15.7 |
| 55.4 | 17.5 |
| 60.2 | 20.2 |
| 65.9 | 20.3 |
| 67.4 | 14.2 |
| 74.7 | 3.5 |
| 86.3 | 7.3 |

For CdIn3, a cell relaxed with PBE gives the theoretical X-ray diffraction stick pattern in this record (λ = 1.5418 Å (Cu Kα)).

Crystal structure
Cell: 6.5048 6.5048 5.9112 Å, 90.00 90.00 120.00°
Atoms (fractional coordinates):
1 Cd 0.3333 0.6667 0.2500
2 Cd 0.6667 0.3333 0.7500
3 In 0.1683 0.3366 0.7500
4 In 0.1683 0.8317 0.7500
5 In 0.3366 0.1683 0.2500
6 In 0.6634 0.8317 0.7500
7 In 0.8317 0.1683 0.2500
8 In 0.8317 0.6634 0.2500

Most intense lines, 15° ≤ 2θ ≤ 90°, sorted by position:
| two_theta | I/Imax |
| --- | --- |
| 30.2 | 33.7 |
| 31.8 | 22.2 |
| 35.3 | 100.0 |
| 44.4 | 17.2 |
| 56.6 | 16.3 |
| 57.0 | 23.9 |
| 65.5 | 20.7 |
| 68.5 | 13.6 |
| 84.6 | 7.7 |
| 89.6 | 9.1 |

For CdIn3, a cell relaxed with PBE gives the theoretical X-ray diffraction stick pattern in this record (λ = 1.5418 Å (Cu Kα)).

Crystal structure
Cell: 5.3473 5.3473 5.3473 Å, 60.00 60.00 60.00°
Atoms (fractional coordinates):
1 Cd 0.0000 0.0000 0.0000
2 In 0.2500 0.2500 0.2500
3 In 0.5000 0.5000 0.5000
4 In 0.7500 0.7500 0.7500

Most intense lines, 15° ≤ 2θ ≤ 90°, sorted by position:
| two_theta | I/Imax |
| --- | --- |
| 33.5 | 100.0 |
| 48.1 | 17.6 |
| 59.9 | 35.6 |
| 70.4 | 10.8 |
| 80.3 | 15.1 |
| 89.9 | 3.9 |